# ErSnBi
Theoretical powder XRD pattern, Cu Kα, 1.54184 Å. Input: a PBE-relaxed structure.
No peak broadening, texture or thermal motion is included.

Peak list (10 most intense, 15 to 90 degrees two-theta, sorted by position)
2theta  I_rel
31.4  64
34.3  100
44.9  24
57.8  46
63.3  17
65.5  8
72.4  11
74.4  11
76.0  11
89.4  7

Atomic structure:
Unit cell a=4.0333 b=4.0333 c=10.2795 alpha=90.00 beta=90.00 gamma=90.00
Positions (direct):
Er  0.0000  0.0000  0.0000
Er  0.5000  0.5000  0.5000
Sn  0.0000  0.0000  0.6594
Sn  0.5000  0.5000  0.1594
Bi  0.0000  0.0000  0.3425
Bi  0.5000  0.5000  0.8425



# TaTc4Ag
Theoretical powder XRD pattern, Cu Kα, 1.54184 Å. Input: a PBE-relaxed structure.
No peak broadening, texture or thermal motion is included.

Peak list (10 most intense, 15 to 90 degrees two-theta, sorted by position)
2theta  I_rel
24.4  3
34.8  40
41.1  100
43.0  29
62.4  14
66.7  31
73.5  25
83.9  6
87.8  11
89.1  11

Atomic structure:
Unit cell a=5.1552 b=5.1552 c=5.1552 alpha=60.00 beta=60.00 gamma=60.00
Positions (direct):
Ta  0.0000  0.0000  0.0000
Tc  0.1276  0.6241  0.6241
Tc  0.6241  0.1276  0.6241
Tc  0.6241  0.6241  0.1276
Tc  0.6241  0.6241  0.6241
Ag  0.2500  0.2500  0.2500